The following is a simulated X-ray powder pattern of Li7PO2. It was derived from the PBE geometry in Alexandria, using Cu Kα X-rays.

Structural model:
```
data_Li7PO2
_symmetry_space_group_name_H-M 'C m m m'
_symmetry_Int_Tables_number 65
_symmetry_space_group_name_Hall '-C 2 2'
_cell_length_a 6.1072
_cell_length_b 9.8282
_cell_length_c 3.8714
_cell_angle_alpha 90.00
_cell_angle_beta 90.00
_cell_angle_gamma 90.00
loop_
_atom_site_label
_atom_site_fract_x
_atom_site_fract_y
_atom_site_fract_z
Li1 0.0000 0.0000 0.0000
Li2 0.0000 0.2152 0.5000
Li3 0.1810 0.3607 0.0000
P1 0.0000 0.5000 0.5000
O1 0.0000 0.1890 0.0000
```

The 10 most intense peaks (15° ≤ 2θ ≤ 90°), in order of rising 2θ:
h k l  d (Å)  I (rel.)
1 1 0  5.187  32
1 1 1  3.103  100
2 0 0  3.054  64
0 2 1  3.041  56
1 3 0  2.887  74
2 2 1  2.155  26
0 0 2  1.936  33
3 1 1  1.772  34
3 3 0  1.729  28
1 5 1  1.685  28

***

The following is a simulated X-ray powder pattern of LiPPbO4. It was derived from the PBE geometry in Alexandria, using Cu Kα X-rays.

Structural model:
```
data_LiPPbO4
_symmetry_space_group_name_H-M 'P n a 21'
_symmetry_Int_Tables_number 33
_cell_length_a 8.1102
_cell_length_b 18.9342
_cell_length_c 5.0377
_cell_angle_alpha 90.00
_cell_angle_beta 90.00
_cell_angle_gamma 90.00
loop_
_symmetry_equiv_pos_as_xyz
'x,y,z'
'-x,-y,z+1/2'
'-x+1/2,y+1/2,z+1/2'
'x+1/2,-y+1/2,z'
loop_
_atom_site_label
_atom_site_fract_x
_atom_site_fract_y
_atom_site_fract_z
Li1 0.0120 0.0568 0.9995
Li2 0.1755 0.6508 0.5000
P1 0.2168 0.3201 0.9950
P2 0.2335 0.0707 0.4956
Pb1 0.0348 0.2294 0.5401
Pb2 0.1745 0.4456 0.5620
O1 0.0576 0.3523 0.8666
O2 0.0873 0.0314 0.3642
O3 0.1045 0.5293 0.9165
O4 0.1323 0.8644 0.4092
O5 0.2013 0.3177 0.3027
O6 0.2182 0.0727 0.8016
O7 0.2341 0.2429 0.8847
O8 0.2467 0.1473 0.3815
```

The 10 most intense peaks (15° ≤ 2θ ≤ 90°), in order of rising 2θ:
h k l  d (Å)  I (rel.)
0 1 1  4.868  98
2 1 0  3.965  30
2 2 0  3.728  53
1 3 1  3.542  31
1 4 1  3.174  52
2 0 1  3.158  53
0 5 1  3.027  100
2 3 1  2.825  97
2 2 2  2.087  32
4 2 1  1.845  31

***

The following is a simulated X-ray powder pattern of Li2P2PbO7. It was derived from the PBE geometry in Alexandria, using Cu Kα X-rays.

Structural model:
```
data_Li2P2PbO7
_symmetry_space_group_name_H-M 'R 3 2'
_symmetry_Int_Tables_number 155
_symmetry_space_group_name_Hall 'R 3 2"'
_cell_length_a 5.3373
_cell_length_b 5.3373
_cell_length_c 21.8546
_cell_angle_alpha 90.00
_cell_angle_beta 90.00
_cell_angle_gamma 120.00
loop_
_atom_site_label
_atom_site_fract_x
_atom_site_fract_y
_atom_site_fract_z
Li1 0.0000 0.0000 0.2452
P1 0.0000 0.0000 0.4267
Pb1 0.0000 0.0000 0.0000
O1 0.0000 0.0000 0.5000
O2 0.0254 0.2879 0.4070
```

The 10 most intense peaks (15° ≤ 2θ ≤ 90°), in order of rising 2θ:
h k l  d (Å)  I (rel.)
1 0 1  4.522  17
0 1 2  4.257  100
1 0 4  3.529  40
0 1 5  3.176  49
1 1 0  2.669  33
1 0 7  2.587  31
1 1 3  2.506  23
2 0 2  2.261  19
1 1 6  2.153  21
1 1 9  1.796  18

***

The following is a simulated X-ray powder pattern of Li2P2PdO7. It was derived from the PBE geometry in Alexandria, using Cu Kα X-rays.

Structural model:
```
data_Li2P2PdO7
_symmetry_space_group_name_H-M 'I m m a'
_symmetry_Int_Tables_number 74
_symmetry_space_group_name_Hall '-I 2b 2'
_cell_length_a 6.5435
_cell_length_b 13.2105
_cell_length_c 7.3125
_cell_angle_alpha 90.00
_cell_angle_beta 90.00
_cell_angle_gamma 90.00
loop_
_atom_site_label
_atom_site_fract_x
_atom_site_fract_y
_atom_site_fract_z
Li1 0.2500 0.0194 0.2500
P1 0.0000 0.1403 0.5504
Pd1 0.2500 0.2500 0.2500
O1 0.0000 0.0601 0.6972
O2 0.0000 0.2500 0.6497
O3 0.1981 0.1349 0.4327
```

The 10 most intense peaks (15° ≤ 2θ ≤ 90°), in order of rising 2θ:
h k l  d (Å)  I (rel.)
1 0 1  4.876  76
0 3 1  3.772  46
2 2 0  2.932  19
2 1 1  2.913  100
0 4 2  2.451  49
2 2 2  2.287  25
0 3 3  2.133  13
2 5 1  1.979  16
2 3 3  1.787  15
2 5 3  1.571  23

***

The following is a simulated X-ray powder pattern of LiPr2Zn2P2O2. It was derived from the PBE geometry in Alexandria, using Cu Kα X-rays.

Structural model:
```
data_LiPr2Zn2P2O2
_symmetry_space_group_name_H-M 'R -3 m'
_symmetry_Int_Tables_number 166
_symmetry_space_group_name_Hall '-R 3 2"'
_cell_length_a 4.0179
_cell_length_b 4.0179
_cell_length_c 32.0081
_cell_angle_alpha 90.00
_cell_angle_beta 90.00
_cell_angle_gamma 120.00
loop_
_atom_site_label
_atom_site_fract_x
_atom_site_fract_y
_atom_site_fract_z
Li1 0.0000 0.0000 0.0000
Pr1 0.0000 0.0000 0.3901
Zn1 0.0000 0.0000 0.1959
P1 0.0000 0.0000 0.1171
O1 0.0000 0.0000 0.3074
```

The 10 most intense peaks (15° ≤ 2θ ≤ 90°), in order of rising 2θ:
h k l  d (Å)  I (rel.)
0 0 9  3.556  18
1 0 1  3.459  22
1 0 4  3.191  84
0 1 5  3.057  100
1 0 10  2.356  84
1 1 0  2.009  78
0 1 14  1.911  25
0 2 10  1.529  21
2 1 10  1.216  19
3 0 0  1.160  20

***

The following is a simulated X-ray powder pattern of LiPr2Zn2P2O2. It was derived from the PBE geometry in Alexandria, using Cu Kα X-rays.

Structural model:
```
data_LiPr2Zn2P2O2
_symmetry_space_group_name_H-M 'C 1 m 1'
_symmetry_Int_Tables_number 8
_cell_length_a 6.9746
_cell_length_b 4.0217
_cell_length_c 11.4188
_cell_angle_alpha 90.00
_cell_angle_beta 102.01
_cell_angle_gamma 90.00
loop_
_symmetry_equiv_pos_as_xyz
'x,y,z'
'x,-y,z'
'x+1/2,y+1/2,z'
'x+1/2,-y+1/2,z'
loop_
_atom_site_label
_atom_site_fract_x
_atom_site_fract_y
_atom_site_fract_z
Li1 0.0000 0.0000 0.0000
Pr1 0.1688 0.0000 0.4959
Pr2 0.2432 0.5000 0.2238
Zn1 0.1336 0.5000 0.9044
Zn2 0.4217 0.5000 0.7504
P1 0.0673 0.5000 0.6858
P2 0.3427 0.0000 0.0289
O1 0.0953 0.0000 0.2803
O2 0.3167 0.5000 0.4401
```

The 10 most intense peaks (15° ≤ 2θ ≤ 90°), in order of rising 2θ:
h k l  d (Å)  I (rel.)
2 0 0  3.412  81
2 0 -2  3.218  36
2 0 1  3.092  100
2 0 -3  2.825  26
1 1 2  2.814  53
0 0 4  2.792  39
1 1 -4  2.296  38
0 2 0  2.012  99
3 1 -5  1.637  32
0 2 4  1.631  30